Entry 1:
This entry pairs a crystal structure of Li4MnCo2O7 with its theoretical X-ray powder pattern. Radiation: copper Kα. Structure: the PBE+U geometry in the Materials Project.
Peak positions follow from Bragg's law for the DFT cell and can differ from measured ones.

Crystal structure
Cell lengths 2.985, 6.434, 13.615 Å; angles 83.25, 86.39, 76.70 degrees
Space group P1 (No. 1)
One atom of each set of equivalent atoms:
Li (0.000, 0.000, 0.000) (multiplicity 1)
Li (0.018, 0.494, 0.495) (multiplicity 1)
Li (0.126, 0.427, 0.294) (multiplicity 1)
Li (0.274, 0.856, 0.574) (multiplicity 1)
Li (0.431, 0.289, 0.857) (multiplicity 1)
Li (0.577, 0.719, 0.140) (multiplicity 1)
Li (0.705, 0.162, 0.431) (multiplicity 1)
Li (0.863, 0.565, 0.715) (multiplicity 1)
Mn (0.289, 0.358, 0.073) (multiplicity 1)
Mn (0.419, 0.781, 0.362) (multiplicity 1)
Co (0.139, 0.934, 0.784) (multiplicity 1)
Co (0.568, 0.226, 0.637) (multiplicity 1)
Co (0.718, 0.648, 0.928) (multiplicity 1)
Co (0.834, 0.076, 0.218) (multiplicity 1)
O (0.166, 0.669, 0.033) (multiplicity 1)
O (0.168, 0.179, 0.546) (multiplicity 1)
O (0.247, 0.095, 0.317) (multiplicity 1)
O (0.268, 0.628, 0.823) (multiplicity 1)
O (0.437, 0.505, 0.615) (multiplicity 1)
O (0.447, 0.047, 0.114) (multiplicity 1)
O (0.562, 0.488, 0.390) (multiplicity 1)
O (0.582, 0.953, 0.891) (multiplicity 1)
O (0.683, 0.381, 0.178) (multiplicity 1)
O (0.691, 0.918, 0.680) (multiplicity 1)
O (0.870, 0.821, 0.451) (multiplicity 1)
O (0.895, 0.339, 0.965) (multiplicity 1)
O (0.960, 0.771, 0.263) (multiplicity 1)
O (0.967, 0.235, 0.747) (multiplicity 1)

Top 10 peaks for 2θ from 10° to 80°, low angle first:
18.33 deg, I = 1000, hkl 0 1 2; 34.78 deg, I = 176, hkl 1 1 -2; 36.18 deg, I = 126, hkl 1 0 3; 36.80 deg, I = 112, hkl 0 2 -3; 41.77 deg, I = 324, hkl 1 0 -4; 43.83 deg, I = 276, hkl 1 1 5; 44.89 deg, I = 254, hkl 0 3 -1; 62.04 deg, I = 80, hkl 0 1 9; 62.27 deg, I = 84, hkl 2 1 1; 62.87 deg, I = 79, hkl -1 3 3

Entry 2:
This entry pairs a crystal structure of Li4MnCo3O8 with its theoretical X-ray powder pattern. Radiation: copper Kα. Structure: the PBE+U geometry in the Materials Project.
Peak positions follow from Bragg's law for the DFT cell and can differ from measured ones.

Crystal structure
Cell lengths 2.935, 5.056, 9.771 Å; angles 85.44, 83.09, 88.33 degrees
Space group P-1 (No. 2)
One atom of each set of equivalent atoms:
Li (0.123, 0.376, 0.252) (multiplicity 2)
Li (0.365, 0.125, 0.755) (multiplicity 2)
Mn (0.000, 0.000, 0.500) (multiplicity 1)
Co (0.250, 0.749, 0.999) (multiplicity 2)
Co (0.500, 0.500, 0.500) (multiplicity 1)
O (0.036, 0.677, 0.393) (multiplicity 2)
O (0.187, 0.062, 0.117) (multiplicity 2)
O (0.316, 0.435, 0.884) (multiplicity 2)
O (0.409, 0.803, 0.614) (multiplicity 2)

Top 10 peaks for 2θ from 10° to 80°, low angle first:
18.35 deg, I = 1000, hkl 0 0 2; 35.29 deg, I = 158, hkl 1 1 0; 36.15 deg, I = 137, hkl 0 2 1; 36.54 deg, I = 128, hkl 1 -1 1; 37.56 deg, I = 95, hkl 1 1 2; 42.44 deg, I = 275, hkl 1 1 -2; 43.88 deg, I = 248, hkl 0 2 3; 44.42 deg, I = 238, hkl 1 -1 3; 47.44 deg, I = 100, hkl -1 1 3; 62.80 deg, I = 141, hkl 1 3 1

Entry 3:
This entry pairs a crystal structure of LiMnCo3O8 with its theoretical X-ray powder pattern. Radiation: copper Kα. Structure: the PBE+U geometry in the Materials Project.
Peak positions follow from Bragg's law for the DFT cell and can differ from measured ones.

Crystal structure
Cell lengths 5.692, 6.112, 8.255 Å; angles 86.10, 89.98, 89.67 degrees
Space group P1 (No. 1)
One atom of each set of equivalent atoms:
Li (0.000, 0.000, 0.000) (multiplicity 1)
Li (0.498, 0.503, 0.490) (multiplicity 1)
Mn (0.500, 0.007, 0.492) (multiplicity 1)
Mn (0.997, 0.502, 0.994) (multiplicity 1)
Co (0.248, 0.254, 0.241) (multiplicity 1)
Co (0.249, 0.754, 0.744) (multiplicity 1)
Co (0.497, 0.503, 0.993) (multiplicity 1)
Co (0.746, 0.255, 0.241) (multiplicity 1)
Co (0.749, 0.754, 0.745) (multiplicity 1)
Co (0.999, 0.010, 0.491) (multiplicity 1)
O (0.000, 0.462, 0.224) (multiplicity 1)
O (0.001, 0.051, 0.247) (multiplicity 1)
O (0.002, 0.955, 0.742) (multiplicity 1)
O (0.247, 0.714, 0.976) (multiplicity 1)
O (0.249, 0.291, 0.009) (multiplicity 1)
O (0.255, 0.227, 0.471) (multiplicity 1)
O (0.262, 0.780, 0.518) (multiplicity 1)
O (0.494, 0.047, 0.260) (multiplicity 1)
O (0.494, 0.462, 0.222) (multiplicity 1)
O (0.499, 0.549, 0.760) (multiplicity 1)
O (0.500, 0.960, 0.729) (multiplicity 1)
O (0.737, 0.227, 0.472) (multiplicity 1)
O (0.745, 0.294, 0.007) (multiplicity 1)
O (0.745, 0.715, 0.976) (multiplicity 1)
O (0.746, 0.786, 0.517) (multiplicity 1)
O (0.997, 0.548, 0.759) (multiplicity 1)

Top 10 peaks for 2θ from 10° to 80°, low angle first:
17.50 deg, I = 1000, hkl 0 1 1; 36.78 deg, I = 179, hkl 0 1 -3; 36.89 deg, I = 86, hkl 2 -1 1; 38.45 deg, I = 46, hkl 2 0 2; 43.37 deg, I = 140, hkl 2 2 0; 43.63 deg, I = 138, hkl 2 -2 0; 43.98 deg, I = 137, hkl 0 0 4; 55.94 deg, I = 51, hkl 2 3 1; 56.27 deg, I = 49, hkl -2 3 1; 56.91 deg, I = 46, hkl 0 1 5

Entry 4:
This entry pairs a crystal structure of Li4MnCo2O7 with its theoretical X-ray powder pattern. Radiation: copper Kα. Structure: the PBE+U geometry in the Materials Project.
Peak positions follow from Bragg's law for the DFT cell and can differ from measured ones.

Crystal structure
Cell lengths 2.978, 8.085, 10.674 Å; angles 78.33, 86.00, 89.05 degrees
Space group P1 (No. 1)
One atom of each set of equivalent atoms:
Li (0.000, 0.000, 0.000) (multiplicity 1)
Li (0.010, 0.493, 0.994) (multiplicity 1)
Li (0.127, 0.562, 0.722) (multiplicity 1)
Li (0.285, 0.140, 0.429) (multiplicity 1)
Li (0.417, 0.705, 0.144) (multiplicity 1)
Li (0.565, 0.291, 0.862) (multiplicity 1)
Li (0.717, 0.857, 0.568) (multiplicity 1)
Li (0.861, 0.419, 0.285) (multiplicity 1)
Mn (0.280, 0.639, 0.428) (multiplicity 1)
Mn (0.563, 0.775, 0.861) (multiplicity 1)
Co (0.126, 0.069, 0.718) (multiplicity 1)
Co (0.434, 0.222, 0.138) (multiplicity 1)
Co (0.705, 0.352, 0.574) (multiplicity 1)
Co (0.859, 0.928, 0.284) (multiplicity 1)
O (0.019, 0.241, 0.013) (multiplicity 1)
O (0.031, 0.752, 0.983) (multiplicity 1)
O (0.103, 0.824, 0.732) (multiplicity 1)
O (0.119, 0.308, 0.707) (multiplicity 1)
O (0.254, 0.883, 0.424) (multiplicity 1)
O (0.308, 0.394, 0.437) (multiplicity 1)
O (0.419, 0.433, 0.149) (multiplicity 1)
O (0.452, 0.978, 0.151) (multiplicity 1)
O (0.541, 0.025, 0.848) (multiplicity 1)
O (0.576, 0.549, 0.856) (multiplicity 1)
O (0.685, 0.594, 0.567) (multiplicity 1)
O (0.732, 0.112, 0.581) (multiplicity 1)
O (0.833, 0.163, 0.279) (multiplicity 1)
O (0.884, 0.689, 0.285) (multiplicity 1)

Top 10 peaks for 2θ from 10° to 80°, low angle first:
11.18 deg, I = 78, hkl 0 1 0; 18.39 deg, I = 1000, hkl 0 1 2; 34.44 deg, I = 194, hkl 1 1 -1; 36.76 deg, I = 226, hkl 1 -1 2; 37.27 deg, I = 79, hkl 0 2 4; 41.29 deg, I = 338, hkl 1 0 -3; 44.66 deg, I = 260, hkl 1 0 4; 44.85 deg, I = 254, hkl 0 4 1; 62.32 deg, I = 79, hkl 0 0 7; 62.56 deg, I = 80, hkl 2 0 1